[1]
The following is a simulated powder XRD pattern of Lu2O3. It was derived from a cell relaxed with PBE, using copper Kα.
Kinematic intensities with the Lorentz-polarization factor, no thermal factor.

Principal peaks in the range 15° ≤ 2θ ≤ 90°, by angle:
two_theta  I (rel.)  index
21.0  10  2 1 1
29.9  100  2 2 2
34.6  36  4 0 0
44.6  9  4 1 3
49.8  37  4 4 0
59.1  31  6 2 2
80.8  8  6 6 2
83.4  7  8 4 0

Atomic structure:
```
data_Lu2O3
_cell_length_a 10.365
_cell_length_b 10.365
_cell_length_c 10.365
_cell_angle_alpha 90.00
_cell_angle_beta 90.00
_cell_angle_gamma 90.00
_symmetry_space_group_name_H-M 'I a -3'
_symmetry_Int_Tables_number 206
_symmetry_space_group_name_Hall '-I 2b 2c 3'
loop_
_atom_site_label
_atom_site_fract_x
_atom_site_fract_y
_atom_site_fract_z
Lu1 0.000 0.250 0.467
Lu2 0.250 0.250 0.250
O1 0.109 0.152 0.620
```

[2]
The following is a simulated powder XRD pattern of Ca2IrN3. It was derived from a cell relaxed with PBE, using copper Kα.
Kinematic intensities with the Lorentz-polarization factor, no thermal factor.

Principal peaks in the range 15° ≤ 2θ ≤ 90°, by angle:
two_theta  I (rel.)  index
16.3  70  0 2 0
23.3  100  1 1 2
30.0  21  0 0 4
32.0  42  2 0 0
33.0  88  1 3 2
35.1  29  1 1 4
44.4  18  2 0 4
47.3  22  1 5 2

Atomic structure:
```
data_Ca2IrN3
_cell_length_a 5.598
_cell_length_b 10.878
_cell_length_c 11.929
_cell_angle_alpha 90.00
_cell_angle_beta 90.00
_cell_angle_gamma 90.00
_symmetry_space_group_name_H-M 'C m c e'
_symmetry_Int_Tables_number 64
_symmetry_space_group_name_Hall '-C 2ac 2'
loop_
_atom_site_label
_atom_site_fract_x
_atom_site_fract_y
_atom_site_fract_z
Ca1 0.000 0.048 0.149
Ca2 0.000 0.134 0.576
Ir1 0.000 0.249 0.349
N1 0.000 0.067 0.358
N2 0.000 0.155 0.979
N3 0.250 0.204 0.750
```

[3]
The following is a simulated powder XRD pattern of Dy4CdSe7. It was derived from a cell relaxed with PBE, using copper Kα.
Kinematic intensities with the Lorentz-polarization factor, no thermal factor.

Principal peaks in the range 15° ≤ 2θ ≤ 90°, by angle:
two_theta  I (rel.)  index
23.0  86  2 0 2
23.3  95  2 0 -3
30.2  84  3 1 -1
30.6  57  3 1 0
31.7  100  3 1 -2
32.8  80  3 1 1
40.1  56  1 1 4
45.3  64  0 2 0

Atomic structure:
```
data_Dy4CdSe7
_cell_length_a 13.315
_cell_length_b 4.000
_cell_length_c 12.165
_cell_angle_alpha 90.00
_cell_angle_beta 104.98
_cell_angle_gamma 90.00
_symmetry_space_group_name_H-M 'C 1 m 1'
_symmetry_Int_Tables_number 8
_symmetry_space_group_name_Hall 'C -2y'
loop_
_atom_site_label
_atom_site_fract_x
_atom_site_fract_y
_atom_site_fract_z
Dy1 0.000 0.000 0.000
Dy2 0.079 0.500 0.372
Dy3 0.194 0.500 0.803
Dy4 0.387 0.000 0.605
Cd1 0.310 0.500 0.223
Se1 0.033 0.000 0.750
Se2 0.156 0.500 0.019
Se3 0.194 0.000 0.303
Se4 0.232 0.500 0.586
Se5 0.354 0.000 0.850
Se6 0.435 0.000 0.152
Se7 0.452 0.500 0.448
```